The following is a computed XRD peak list of K5Na3Nb6W2O24. It was derived from the PBE+U geometry in Alexandria, using Cu Kα (λ = 1.5418 Å).
Intensities are scaled so that the largest is 100.

Largest 10 diffraction maxima, in order of falling intensity, 10° ≤ 2θ ≤ 90°:
- 2.847 Å, rel. 100, hkl 2 2 2
- 4.025 Å, rel. 80, hkl 0 2 2
- 2.013 Å, rel. 46, hkl 4 0 0
- 1.645 Å, rel. 23, hkl 4 4 0
- 1.642 Å, rel. 23, hkl 4 0 4
- 1.423 Å, rel. 22, hkl 4 4 4
- 2.842 Å, rel. 20, hkl 0 0 4
- 1.801 Å, rel. 17, hkl 0 6 2
- 1.799 Å, rel. 17, hkl 0 2 6
- 8.052 Å, rel. 10, hkl 0 1 1

Structure:
```
data_K5Na3Nb6W2O24
_chemical_formula_sum 'K10 Na6 Nb12 W4 O48'
_space_group_name_H-M_alt 'A m m 2'
_space_group_IT_number 38
_space_group_name_Hall 'A 2 -2'
_cell_length_a 8.0471
_cell_length_b 11.4069
_cell_length_c 11.3687
_cell_angle_alpha 90.00
_cell_angle_beta 90.00
_cell_angle_gamma 90.00
loop_
_atom_site_label
_atom_site_type_symbol
_atom_site_fract_x
_atom_site_fract_y
_atom_site_fract_z
K1 K 0.0000 0.0000 0.0000
K2 K 0.0000 0.0000 0.4981
K3 K 0.0000 0.2480 0.2492
K4 K 0.5000 0.0000 0.0000
Na1 Na 0.5000 0.0000 0.4911
Na2 Na 0.5000 0.2410 0.2493
Nb1 Nb 0.2513 0.0000 0.2492
Nb2 Nb 0.2517 0.2490 0.4992
W1 W 0.2522 0.0000 0.7487
O1 O 0.0000 0.0000 0.2498
O2 O 0.0000 0.0000 0.7488
O3 O 0.0000 0.2494 0.4990
O4 O 0.2528 0.1239 0.8700
O5 O 0.2536 0.1229 0.6268
O6 O 0.2536 0.1264 0.1246
O7 O 0.2551 0.1250 0.3752
O8 O 0.5000 0.0000 0.2513
O9 O 0.5000 0.0000 0.7477
O10 O 0.5000 0.2484 0.4992
```